For Nb6SnS8, a cell relaxed with GGA-PBE gives the computed X-ray powder pattern in this record (copper Kα).
Neutral-atom scattering factors, no anomalous dispersion.

Peak list (10 most intense, 2θ = 5–70°, most intense first)
- 2θ = 38.86°, I = 1000
- 2θ = 28.26°, I = 513
- 2θ = 21.27°, I = 310
- 2θ = 46.09°, I = 243
- 2θ = 50.02°, I = 205
- 2θ = 68.28°, I = 174
- 2θ = 10.59°, I = 162
- 2θ = 54.95°, I = 153
- 2θ = 61.82°, I = 122
- 2θ = 41.87°, I = 113

Crystal structure
```
Nb6SnS8
1.0
9.6485 0.0000 0.0000
-4.8243 8.3559 0.0000
0.0000 0.0000 3.4109
Nb Sn S
6 1 8
Cartesian
-1.2652 4.0702 0.8562
-0.6668 7.4165 0.8562
2.8923 3.1308 2.5547
1.9320 5.2251 0.8562
5.4910 0.9394 2.5547
6.0895 4.2857 2.5547
0.0000 0.0000 1.7054
-2.9225 5.9735 0.8479
1.1123 2.8382 0.8479
0.0000 5.5706 2.5591
3.0141 0.4558 2.5630
1.8102 7.9000 0.8479
4.8243 2.7853 0.8517
3.7120 5.5177 2.5630
7.7467 2.3824 2.5630
```

---

For Ta6Nb3Te2S3, a cell relaxed with GGA-PBE gives the computed X-ray powder pattern in this record (copper Kα).
Neutral-atom scattering factors, no anomalous dispersion.

Peak list (10 most intense, 2θ = 5–70°, most intense first)
- 2θ = 36.16°, I = 1000
- 2θ = 7.75°, I = 745
- 2θ = 7.01°, I = 563
- 2θ = 8.21°, I = 388
- 2θ = 37.25°, I = 385
- 2θ = 40.75°, I = 330
- 2θ = 36.49°, I = 268
- 2θ = 40.57°, I = 227
- 2θ = 53.26°, I = 187
- 2θ = 42.66°, I = 178

Crystal structure
```
Ta6Nb3Te2S3
1.0
12.3589 0.0000 0.0000
0.0000 3.4397 0.0000
-5.2484 0.0000 12.6042
Ta Nb Te S
12 6 4 6
Cartesian
-0.2330 0.8599 1.1538
-0.8221 2.5798 3.3524
-2.0314 2.5798 9.8456
-2.8084 0.8599 12.0084
1.9805 2.5798 1.7143
1.4660 0.8599 3.9262
5.6444 2.5798 8.6780
5.1299 0.8599 10.8899
9.9189 2.5798 0.5958
9.1419 0.8599 2.7586
7.9326 0.8599 9.2518
7.3435 2.5798 11.4504
-1.6071 0.8599 5.5302
0.2395 0.8599 11.4826
4.3869 0.8599 1.9525
2.7236 2.5798 10.6517
6.8710 2.5798 1.1216
8.7176 2.5798 7.0740
0.6416 2.5798 6.0921
3.7596 2.5798 4.2473
3.3509 0.8599 8.3569
6.4688 0.8599 6.5121
-2.0164 0.8599 8.0201
4.1288 2.5798 0.1589
0.4448 2.5798 9.6477
6.6656 0.8599 2.9565
2.9816 0.8599 12.4453
9.1268 2.5798 4.5841
```

---

For TiNb3S6, a cell relaxed with GGA-PBE gives the computed X-ray powder pattern in this record (copper Kα).
Neutral-atom scattering factors, no anomalous dispersion.

Peak list (10 most intense, 2θ = 5–70°, most intense first)
- 2θ = 42.42°, I = 1000
- 2θ = 14.11°, I = 811
- 2θ = 34.04°, I = 590
- 2θ = 30.81°, I = 364
- 2θ = 54.79°, I = 337
- 2θ = 31.65°, I = 184
- 2θ = 54.02°, I = 146
- 2θ = 56.88°, I = 127
- 2θ = 37.72°, I = 115
- 2θ = 58.83°, I = 89

Crystal structure
```
TiNb3S6
1.0
5.8035 0.0000 0.0000
-2.9018 5.0260 0.0000
0.0000 0.0000 12.5567
Ti Nb S
2 6 12
Cartesian
0.0000 3.3507 3.1392
2.9018 1.6753 9.4175
0.0000 0.0000 0.0000
0.0000 0.0000 6.2784
0.0000 3.3507 6.3031
0.0000 3.3507 12.5320
2.9018 1.6753 0.0247
2.9018 1.6753 6.2536
-0.9569 1.6795 1.5881
-1.9257 3.3575 4.6902
0.9569 1.6795 4.6902
-0.9688 5.0149 1.5881
1.9330 0.0111 10.9686
0.9761 1.6685 7.8665
1.9257 3.3575 1.5881
0.9688 5.0149 4.6902
3.8705 0.0111 7.8665
1.9448 3.3465 10.9686
4.8275 1.6685 10.9686
3.8587 3.3465 7.8665
```

---

For TiNbS4, a cell relaxed with GGA-PBE gives the computed X-ray powder pattern in this record (copper Kα).
Neutral-atom scattering factors, no anomalous dispersion.

Peak list (10 most intense, 2θ = 5–70°, most intense first)
- 2θ = 14.44°, I = 1000
- 2θ = 33.83°, I = 691
- 2θ = 42.64°, I = 592
- 2θ = 33.86°, I = 349
- 2θ = 54.05°, I = 188
- 2θ = 54.76°, I = 171
- 2θ = 30.44°, I = 123
- 2θ = 16.72°, I = 116
- 2θ = 42.49°, I = 107
- 2θ = 56.35°, I = 102

Crystal structure
```
TiNbS4
1.0
6.7933 -1.6927 0.0000
6.7933 1.6927 0.0000
-2.5241 0.0000 5.3130
Ti Nb S
1 1 4
Cartesian
0.0000 0.0000 0.0000
5.5312 0.0000 2.6565
-0.3366 0.0000 4.2253
3.3503 0.0000 3.8158
7.7121 0.0000 1.4972
11.3990 0.0000 1.0877
```

---

For Nb2Tl4S11, a cell relaxed with GGA-PBE gives the computed X-ray powder pattern in this record (copper Kα).
Neutral-atom scattering factors, no anomalous dispersion.

Peak list (10 most intense, 2θ = 5–70°, most intense first)
- 2θ = 19.39°, I = 1000
- 2θ = 23.56°, I = 820
- 2θ = 23.02°, I = 744
- 2θ = 30.57°, I = 710
- 2θ = 29.78°, I = 662
- 2θ = 31.34°, I = 657
- 2θ = 17.50°, I = 612
- 2θ = 29.17°, I = 486
- 2θ = 22.86°, I = 434
- 2θ = 21.87°, I = 430

Crystal structure
```
Nb2Tl4S11
1.0
8.1581 0.0000 0.0000
0.7955 9.1618 0.0000
0.2251 4.1137 12.8577
Nb Tl S
4 8 22
Cartesian
1.3620 4.5647 3.9484
2.8436 1.8116 2.4411
6.3351 11.4638 10.4165
7.8168 8.7108 8.9092
1.2163 10.9635 12.5423
2.6394 11.2292 7.3993
2.3638 6.2663 7.5108
4.4841 6.0649 11.4337
4.6946 7.2106 1.4240
6.8149 7.0091 5.3469
6.5393 2.0463 5.4584
7.9624 2.3120 0.3154
0.7461 8.7144 6.8584
0.5106 2.2913 3.2427
0.9462 6.8752 3.1957
1.3937 7.8228 10.4328
2.5495 4.1003 1.4611
2.2614 0.5801 0.5720
3.7079 9.3541 4.2741
3.3863 3.2851 4.7781
3.6036 5.3406 4.5484
3.6474 3.7027 9.5697
4.6887 9.8936 11.3403
4.4900 3.3818 1.5174
5.5313 9.5727 3.2880
5.5751 7.9349 8.3093
5.7924 9.9903 8.0796
5.4708 3.9214 8.5836
6.9173 12.6953 12.2857
6.6292 9.1752 11.3966
7.7850 5.4527 2.4249
8.2325 6.4003 9.6620
8.6681 10.9842 9.6150
8.4326 4.5611 5.9993
```

---

For Nb4VS8, a cell relaxed with GGA-PBE gives the computed X-ray powder pattern in this record (copper Kα).
Neutral-atom scattering factors, no anomalous dispersion.

Peak list (10 most intense, 2θ = 5–70°, most intense first)
- 2θ = 42.95°, I = 1000
- 2θ = 14.44°, I = 867
- 2θ = 34.24°, I = 699
- 2θ = 54.93°, I = 501
- 2θ = 30.88°, I = 360
- 2θ = 31.75°, I = 192
- 2θ = 57.10°, I = 139
- 2θ = 38.07°, I = 132
- 2θ = 66.33°, I = 97
- 2θ = 60.34°, I = 86

Crystal structure
```
Nb4VS8
1.0
6.6880 0.0000 0.0000
-3.3440 5.7920 0.0000
0.0000 0.0000 12.2716
Nb V S
8 2 16
Cartesian
0.0000 0.0000 3.0679
0.0000 0.0000 9.2037
-1.6284 2.9211 3.0679
1.6284 2.9211 3.0679
0.0000 5.7417 3.0679
3.3440 0.0503 9.2037
1.7155 2.8708 9.2037
4.9724 2.8708 9.2037
0.0000 0.0000 0.0000
0.0000 0.0000 6.1358
0.0000 1.9211 7.6232
0.0000 1.9211 10.7842
-1.6802 4.8314 7.6232
-1.6802 4.8314 10.7842
1.6638 0.9606 1.4874
1.6638 0.9606 4.6484
0.0000 3.8613 1.4803
0.0000 3.8613 4.6555
3.3440 1.9307 7.6161
3.3440 1.9307 10.7913
1.6802 4.8314 7.6232
1.6802 4.8314 10.7842
5.0242 0.9606 1.4874
5.0242 0.9606 4.6484
3.3440 3.8708 1.4874
3.3440 3.8708 4.6484
```

---

> Which formula does entry 4 have?

TiNbS4